This entry pairs a crystal structure of Ag6SICl2 with its calculated XRD peak list. Radiation: Cu Kα. Structure: a PBE-relaxed structure.

Structure:
```
data_Ag6SICl2
_chemical_formula_sum 'Ag12 S2 I2 Cl4'
_symmetry_space_group_name_H-M 'C 1 2/m 1'
_symmetry_Int_Tables_number 12
_symmetry_space_group_name_Hall '-C 2y'
_cell_length_a 12.269
_cell_length_b 6.036
_cell_length_c 7.104
_cell_angle_alpha 90.00
_cell_angle_beta 113.99
_cell_angle_gamma 90.00
loop_
_atom_site_label
_atom_site_fract_x
_atom_site_fract_y
_atom_site_fract_z
Ag1 0.124 0.248 0.376
Ag2 0.221 0.500 0.777
S1 0.000 0.500 0.500
I1 0.000 0.000 0.000
Cl1 0.238 0.500 0.158
```

Peak list (10 most intense, 10 to 90 degrees two-theta, by intensity)
(2 2 -2), 39.47 deg, intensity 100
(1 1 -1), 19.44 deg, intensity 87
(4 2 0), 44.10 deg, intensity 76
(4 0 -1), 29.13 deg, intensity 65
(2 0 2), 37.24 deg, intensity 64
(0 2 1), 32.72 deg, intensity 61
(2 0 -1), 16.16 deg, intensity 47
(2 0 -3), 38.01 deg, intensity 37
(2 2 -1), 33.90 deg, intensity 31
(2 2 1), 39.03 deg, intensity 26